Entry 1:
Structure and computed powder XRD pattern of V2Co2O7 (a crystal structure in the Materials Project, relaxed with PBE+U; λ = 1.5418 Å (Cu Kα)).
Intensities are scaled so that the largest is 100.

Atomic structure:
```
data_V2Co2O7
_chemical_formula_sum 'V8 Co8 O28'
_space_group_name_H-M_alt 'P 1 21/c 1'
_space_group_IT_number 14
_cell_length_a 6.6938
_cell_length_b 8.4676
_cell_length_c 9.5818
_cell_angle_alpha 90.00
_cell_angle_beta 100.33
_cell_angle_gamma 90.00
loop_
_space_group_symop_operation_xyz
'x,y,z'
'-x,-y,-z'
'-x,y+1/2,-z+1/2'
'x,-y+1/2,z+1/2'
loop_
_atom_site_label
_atom_site_type_symbol
_atom_site_fract_x
_atom_site_fract_y
_atom_site_fract_z
_atom_site_occupancy
V1 V 0.1392 0.2414 0.4690 1
V2 V 0.3059 0.5185 0.6864 1
Co1 Co 0.1942 0.6127 0.3198 1
Co2 Co 0.3538 0.6213 0.0366 1
O1 O 0.0721 0.6285 0.1040 1
O2 O 0.1065 0.1314 0.1236 1
O3 O 0.1794 0.1230 0.8487 1
O4 O 0.2462 0.6415 0.8183 1
O5 O 0.3282 0.6312 0.5400 1
O6 O 0.3532 0.1210 0.5056 1
O7 O 0.4705 0.5824 0.2525 1
```

Main lines, in order of falling intensity (2θ = 10–90°):
30.3 deg, intensity 100; 29.1 deg, intensity 71; 34.6 deg, intensity 69; 27.1 deg, intensity 53; 28.3 deg, intensity 52; 62.2 deg, intensity 52



Entry 2:
Structure and computed powder XRD pattern of Mn2NbFeO6 (a crystal structure in the Materials Project, relaxed with PBE+U; λ = 1.5418 Å (Cu Kα)).
Intensities are scaled so that the largest is 100.

Atomic structure:
```
data_Mn2NbFeO6
_chemical_formula_sum 'Mn6 Nb3 Fe3 O18'
_space_group_name_H-M_alt 'R 3'
_space_group_IT_number 146
_space_group_name_Hall 'R 3'
_cell_length_a 5.3452
_cell_length_b 5.3452
_cell_length_c 14.0796
_cell_angle_alpha 90.00
_cell_angle_beta 90.00
_cell_angle_gamma 120.00
loop_
_atom_site_label
_atom_site_type_symbol
_atom_site_fract_x
_atom_site_fract_y
_atom_site_fract_z
_atom_site_occupancy
Mn1 Mn 0.0000 0.0000 0.0000 1
Mn2 Mn 0.0000 0.0000 0.4931 1
Nb1 Nb 0.0000 0.0000 0.2763 1
Fe1 Fe 0.0000 0.0000 0.7756 1
O1 O 0.0090 0.3867 0.5416 1
O2 O 0.0161 0.6248 0.0414 1
```

Main lines, in order of falling intensity (2θ = 10–90°):
31.9 deg, intensity 100; 33.5 deg, intensity 78; 47.0 deg, intensity 47; 59.0 deg, intensity 36; 51.8 deg, intensity 30; 59.9 deg, intensity 29



Entry 3:
Structure and computed powder XRD pattern of Li5Fe3Sb2O10 (a crystal structure in the Materials Project, relaxed with PBE+U; λ = 1.5418 Å (Cu Kα)).
Intensities are scaled so that the largest is 100.

Atomic structure:
```
data_Li5Fe3Sb2O10
_chemical_formula_sum 'Li10 Fe6 Sb4 O20'
_space_group_name_H-M_alt 'P 1'
_space_group_IT_number 1
_cell_length_a 6.9390
_cell_length_b 8.1782
_cell_length_c 8.2276
_cell_angle_alpha 65.04
_cell_angle_beta 89.49
_cell_angle_gamma 88.75
loop_
_space_group_symop_operation_xyz
'x,y,z'
loop_
_atom_site_label
_atom_site_type_symbol
_atom_site_fract_x
_atom_site_fract_y
_atom_site_fract_z
_atom_site_occupancy
Li1 Li 0.0000 0.0000 0.0000 1
Li2 Li 0.0793 0.0745 0.6095 1
Li3 Li 0.1830 0.1728 0.2163 1
Li4 Li 0.2729 0.2737 0.8159 1
Li5 Li 0.3704 0.8797 0.9038 1
Li6 Li 0.4854 0.4979 0.0164 1
Li7 Li 0.5726 0.5717 0.6124 1
Li8 Li 0.6690 0.6650 0.2142 1
Li9 Li 0.7591 0.7443 0.8172 1
Li10 Li 0.8803 0.3791 0.9095 1
Fe1 Fe 0.2829 0.7731 0.3018 1
Fe2 Fe 0.3771 0.3786 0.4100 1
Fe3 Fe 0.4763 0.9713 0.5129 1
Fe4 Fe 0.7762 0.2790 0.2987 1
Fe5 Fe 0.8753 0.8725 0.4107 1
Fe6 Fe 0.9803 0.4717 0.5213 1
Sb1 Sb 0.0621 0.5762 0.1157 1
Sb2 Sb 0.1838 0.6758 0.7100 1
Sb3 Sb 0.5724 0.0756 0.1054 1
Sb4 Sb 0.6857 0.1728 0.7068 1
O1 O 0.0801 0.3221 0.3535 1
O2 O 0.1021 0.8368 0.8255 1
O3 O 0.1810 0.9026 0.4679 1
O4 O 0.1832 0.4426 0.9356 1
O5 O 0.2727 0.5299 0.5741 1
O6 O 0.2989 0.0302 0.0614 1
O7 O 0.3928 0.6122 0.1870 1
O8 O 0.4090 0.1411 0.6497 1
O9 O 0.4653 0.7253 0.7409 1
O10 O 0.4810 0.2087 0.2520 1
O11 O 0.5801 0.8454 0.3320 1
O12 O 0.5866 0.2985 0.8648 1
O13 O 0.6711 0.9480 0.9450 1
O14 O 0.6793 0.4086 0.4885 1
O15 O 0.7688 0.0385 0.5573 1
O16 O 0.7730 0.5156 0.0709 1
O17 O 0.8482 0.1139 0.1565 1
O18 O 0.9036 0.6353 0.6665 1
O19 O 0.9574 0.2202 0.7506 1
O20 O 0.9690 0.7144 0.2874 1
```

Main lines, in order of falling intensity (2θ = 10–90°):
17.7 deg, intensity 100; 40.9 deg, intensity 90; 17.3 deg, intensity 49; 35.3 deg, intensity 47; 41.5 deg, intensity 43; 33.6 deg, intensity 34



Entry 4:
Structure and computed powder XRD pattern of Li4Ti3V3Fe2O16 (a crystal structure in the Materials Project, relaxed with PBE+U; λ = 1.5418 Å (Cu Kα)).
Intensities are scaled so that the largest is 100.

Atomic structure:
```
data_Li4Ti3V3Fe2O16
_chemical_formula_sum 'Li4 Ti3 V3 Fe2 O16'
_space_group_name_H-M_alt 'P 1'
_space_group_IT_number 1
_cell_length_a 5.9095
_cell_length_b 5.9434
_cell_length_c 9.6347
_cell_angle_alpha 90.02
_cell_angle_beta 90.30
_cell_angle_gamma 119.69
loop_
_space_group_symop_operation_xyz
'x,y,z'
loop_
_atom_site_label
_atom_site_type_symbol
_atom_site_fract_x
_atom_site_fract_y
_atom_site_fract_z
_atom_site_occupancy
Li1 Li 0.0000 0.0000 0.0000 1
Li2 Li 0.0048 0.0080 0.5026 1
Li3 Li 0.3356 0.6688 0.3993 1
Li4 Li 0.6708 0.3406 0.8999 1
Ti1 Ti 0.1729 0.3455 0.7271 1
Ti2 Ti 0.3436 0.1768 0.2220 1
Ti3 Ti 0.8356 0.1773 0.2220 1
V1 V 0.1841 0.8403 0.7161 1
V2 V 0.6617 0.8362 0.7148 1
V3 V 0.8327 0.6638 0.2160 1
Fe1 Fe 0.3369 0.6735 0.9986 1
Fe2 Fe 0.6737 0.3409 0.4987 1
O1 O 0.0088 0.0136 0.3162 1
O2 O 0.0133 0.0105 0.8142 1
O3 O 0.0407 0.5209 0.8424 1
O4 O 0.1656 0.3310 0.1075 1
O5 O 0.1675 0.8414 0.1078 1
O6 O 0.3168 0.6516 0.6049 1
O7 O 0.3345 0.1671 0.6081 1
O8 O 0.4713 0.9656 0.8411 1
O9 O 0.4820 0.5229 0.8436 1
O10 O 0.5164 0.4768 0.3441 1
O11 O 0.5229 0.0415 0.3404 1
O12 O 0.6574 0.3147 0.1072 1
O13 O 0.6752 0.8422 0.1070 1
O14 O 0.8379 0.1683 0.6079 1
O15 O 0.8508 0.6826 0.6092 1
O16 O 0.9637 0.4763 0.3437 1
```

Main lines, in order of falling intensity (2θ = 10–90°):
19.5 deg, intensity 100; 18.4 deg, intensity 99; 19.6 deg, intensity 97; 35.5 deg, intensity 76; 25.3 deg, intensity 44; 39.9 deg, intensity 40



Entry 5:
Structure and computed powder XRD pattern of BaGd2NiO5 (a crystal structure in the Materials Project, relaxed with PBE+U; λ = 1.5418 Å (Cu Kα)).
Intensities are scaled so that the largest is 100.

Atomic structure:
```
data_BaGd2NiO5
_chemical_formula_sum 'Ba2 Gd4 Ni2 O10'
_space_group_name_H-M_alt 'I m m m'
_space_group_IT_number 71
_space_group_name_Hall '-I 2 2'
_cell_length_a 3.8345
_cell_length_b 5.8735
_cell_length_c 11.5638
_cell_angle_alpha 90.00
_cell_angle_beta 90.00
_cell_angle_gamma 90.00
loop_
_atom_site_label
_atom_site_type_symbol
_atom_site_fract_x
_atom_site_fract_y
_atom_site_fract_z
_atom_site_occupancy
Ba1 Ba 0.0000 0.0000 0.0000 1
Gd1 Gd 0.0000 0.5000 0.2034 1
Ni1 Ni 0.0000 0.0000 0.5000 1
O1 O 0.0000 0.2414 0.3523 1
O2 O 0.0000 0.5000 0.0000 1
```

Main lines, in order of falling intensity (2θ = 10–90°):
31.9 deg, intensity 100; 27.7 deg, intensity 32; 30.4 deg, intensity 31; 55.0 deg, intensity 22; 43.9 deg, intensity 16; 56.0 deg, intensity 16



Entry 6:
Structure and computed powder XRD pattern of LiFeF4 (a crystal structure in the Materials Project, relaxed with PBE+U; λ = 1.5418 Å (Cu Kα)).
Intensities are scaled so that the largest is 100.

Atomic structure:
```
data_LiFeF4
_chemical_formula_sum 'Li4 Fe4 F16'
_space_group_name_H-M_alt 'P b c n'
_space_group_IT_number 60
_cell_length_a 4.7275
_cell_length_b 5.6756
_cell_length_c 10.2190
_cell_angle_alpha 90.00
_cell_angle_beta 90.00
_cell_angle_gamma 90.00
loop_
_space_group_symop_operation_xyz
'x,y,z'
'-x,-y,-z'
'-x+1/2,-y+1/2,z+1/2'
'x+1/2,y+1/2,-z+1/2'
'x+1/2,-y+1/2,-z'
'-x+1/2,y+1/2,z'
'-x,y,-z+1/2'
'x,-y,z+1/2'
loop_
_atom_site_label
_atom_site_type_symbol
_atom_site_fract_x
_atom_site_fract_y
_atom_site_fract_z
_atom_site_occupancy
Li1 Li 0.0000 0.1756 0.2500 1
Fe1 Fe 0.0000 0.5000 0.0000 1
F1 F 0.2133 0.4854 0.1567 1
F2 F 0.2263 0.2336 0.4219 1
```

Main lines, in order of falling intensity (2θ = 10–90°):
24.5 deg, intensity 100; 17.4 deg, intensity 99; 30.2 deg, intensity 89; 41.1 deg, intensity 47; 53.5 deg, intensity 42; 52.8 deg, intensity 26



Entry 7:
Structure and computed powder XRD pattern of K2Li2NiO4 (a crystal structure in the Materials Project, relaxed with PBE+U; λ = 1.5418 Å (Cu Kα)).
Intensities are scaled so that the largest is 100.

Atomic structure:
```
data_K2Li2NiO4
_chemical_formula_sum 'K8 Li8 Ni4 O16'
_space_group_name_H-M_alt 'P 1 21/c 1'
_space_group_IT_number 14
_cell_length_a 5.4651
_cell_length_b 9.0455
_cell_length_c 11.0735
_cell_angle_alpha 90.00
_cell_angle_beta 112.10
_cell_angle_gamma 90.00
loop_
_space_group_symop_operation_xyz
'x,y,z'
'-x,-y,-z'
'-x,y+1/2,-z+1/2'
'x,-y+1/2,z+1/2'
loop_
_atom_site_label
_atom_site_type_symbol
_atom_site_fract_x
_atom_site_fract_y
_atom_site_fract_z
_atom_site_occupancy
K1 K 0.1982 0.0003 0.3563 1
K2 K 0.2799 0.2481 0.6374 1
Li1 Li 0.1147 0.7466 0.1889 1
Li2 Li 0.1544 0.0130 0.9327 1
Ni1 Ni 0.3801 0.7147 0.5502 1
O1 O 0.2264 0.5721 0.6158 1
O2 O 0.2262 0.6884 0.3734 1
O3 O 0.2652 0.2036 0.8867 1
O4 O 0.2675 0.6142 0.0926 1
```

Main lines, in order of falling intensity (2θ = 10–90°):
21.8 deg, intensity 100; 19.6 deg, intensity 90; 35.3 deg, intensity 79; 26.4 deg, intensity 65; 34.5 deg, intensity 64; 35.5 deg, intensity 62